The following is a theoretical X-ray powder pattern of SnSe2F5. It was derived from a cell relaxed with GGA-PBE, using copper Kα.

Top 10 peaks for 10° ≤ 2θ ≤ 80°, by angle:
hkl  2theta  Rel. int.
0 1 1  17.86  100.0
1 1 1  23.35  27.7
0 1 -1  23.53  62.6
1 0 1  24.36  51.0
0 0 2  29.38  36.4
1 0 -1  29.84  31.8
0 2 0  30.02  35.2
1 -1 0  30.17  30.6
2 1 1  43.35  28.2
1 -2 1  45.91  16.8

Structure:
Cell: 4.175 6.478 6.601 Å, 70.65 72.86 72.45°
Space group P1 (No. 1)
Inequivalent atoms, fractional coordinates:
Sn 0.000 0.000 0.000 (multiplicity 1)
Se 0.491 0.468 0.465 (multiplicity 1)
Se 0.756 0.610 0.603 (multiplicity 1)
F 0.133 0.043 0.681 (multiplicity 1)
F 0.136 0.673 0.057 (multiplicity 1)
F 0.495 0.005 0.004 (multiplicity 1)
F 0.856 0.966 0.323 (multiplicity 1)
F 0.861 0.333 0.951 (multiplicity 1)